The following is a theoretical powder XRD pattern of Lu5Si3C. It was derived from a crystal structure in the Materials Project, relaxed with GGA-PBE, using Cu Kα (weighted mean of Kα1 and Kα2).
Neutral-atom scattering factors, no anomalous dispersion.

Crystal structure
```
data_Lu5Si3C
_chemical_formula_sum 'Lu10 Si6 C2'
_symmetry_space_group_name_H-M 'P 1'
_symmetry_Int_Tables_number 1
_cell_length_a 8.2400
_cell_length_b 8.2400
_cell_length_c 6.2361
_cell_angle_alpha 90.00
_cell_angle_beta 90.00
_cell_angle_gamma 120.00
loop_
_symmetry_equiv_pos_as_xyz
'x,y,z'
loop_
_atom_site_label
_atom_site_type_symbol
_atom_site_fract_x
_atom_site_fract_y
_atom_site_fract_z
Lu1 Lu 0.0000 0.2225 0.2500
Lu2 Lu 0.0000 0.7775 0.7500
Lu3 Lu 0.2225 0.0000 0.2500
Lu4 Lu 0.2225 0.2225 0.7500
Lu5 Lu 0.3333 0.6667 0.0000
Lu6 Lu 0.3333 0.6667 0.5000
Lu7 Lu 0.6667 0.3333 0.0000
Lu8 Lu 0.6667 0.3333 0.5000
Lu9 Lu 0.7775 0.0000 0.7500
Lu10 Lu 0.7775 0.7775 0.2500
Si1 Si 0.0000 0.4072 0.7500
Si2 Si 0.0000 0.5928 0.2500
Si3 Si 0.4072 0.0000 0.7500
Si4 Si 0.4072 0.4072 0.2500
Si5 Si 0.5928 0.0000 0.2500
Si6 Si 0.5928 0.5928 0.7500
C1 C 0.0000 0.0000 0.0000
C2 C 0.0000 0.0000 0.5000
```

Largest 12 diffraction maxima, low angle first, 10° ≤ 2θ ≤ 90°:
- hkl 1 1 0, 21.57 deg, 4.120 Å, rel. 250
- hkl 2 0 0, 24.96 deg, 3.568 Å, rel. 253
- hkl 1 1 1, 25.92 deg, 3.438 Å, rel. 337
- hkl 1 0 2, 31.31 deg, 2.857 Å, rel. 595
- hkl 2 1 0, 33.22 deg, 2.697 Å, rel. 547
- hkl 1 1 2, 36.13 deg, 2.486 Å, rel. 713
- hkl 2 1 1, 36.29 deg, 2.476 Å, rel. 1000
- hkl 3 0 0, 37.82 deg, 2.379 Å, rel. 201
- hkl 2 2 2, 53.30 deg, 1.719 Å, rel. 285
- hkl 2 1 3, 55.84 deg, 1.646 Å, rel. 290
- hkl 0 0 4, 59.33 deg, 1.558 Å, rel. 386
- hkl 4 0 2, 59.72 deg, 1.548 Å, rel. 241